Simulated XRD peak list of Mg2SiB2Ir5 for Cu Kα, 1.54184 Å, from a DFT-relaxed cell (PBE, the Materials Project).
Lines closer than 0.1° are merged.

Main lines, low angle first (10 to 90 degrees two-theta):
| two_theta | I_rel |
| --- | --- |
| 21.09 | 47 |
| 30.00 | 69 |
| 30.67 | 100 |
| 34.33 | 59 |
| 39.45 | 83 |
| 42.94 | 41 |
| 43.44 | 93 |
| 46.69 | 60 |
| 50.78 | 58 |
| 79.04 | 47 |

Cell: 9.4189 9.4189 2.9149 Å, 90.00 90.00 90.00°
Atoms (fractional coordinates):
Mg (0.1753, 0.3247, 0.0000)
Mg (0.3247, 0.8247, 0.0000)
Mg (0.6753, 0.1753, 0.0000)
Mg (0.8247, 0.6753, 0.0000)
Si (0.0000, 0.0000, 0.0000)
Si (0.5000, 0.5000, 0.0000)
B (0.1257, 0.6257, 0.0000)
B (0.3743, 0.1257, 0.0000)
B (0.6257, 0.8743, 0.0000)
B (0.8743, 0.3743, 0.0000)
Ir (0.0000, 0.5000, 0.5000)
Ir (0.0718, 0.7906, 0.5000)
Ir (0.2094, 0.0718, 0.5000)
Ir (0.2906, 0.5718, 0.5000)
Ir (0.4282, 0.2906, 0.5000)
Ir (0.5000, 0.0000, 0.5000)
Ir (0.5718, 0.7094, 0.5000)
Ir (0.7094, 0.4282, 0.5000)
Ir (0.7906, 0.9282, 0.5000)
Ir (0.9282, 0.2094, 0.5000)

=====

Simulated XRD peak list of ThNi2B2C for Cu Kα, 1.54184 Å, from a DFT-relaxed cell (PBE, the Materials Project).
Lines closer than 0.1° are merged.

Main lines, low angle first (10 to 90 degrees two-theta):
| two_theta | I_rel |
| --- | --- |
| 25.69 | 90 |
| 35.36 | 31 |
| 36.01 | 49 |
| 38.81 | 100 |
| 49.40 | 27 |
| 56.50 | 23 |
| 62.21 | 24 |
| 62.63 | 20 |
| 65.77 | 22 |
| 85.37 | 20 |

Cell: 5.7080 5.7080 5.7080 Å, 142.29 142.29 54.40°
Atoms (fractional coordinates):
Th (0.0000, 0.0000, 0.0000)
Ni (0.2500, 0.7500, 0.5000)
Ni (0.7500, 0.2500, 0.5000)
B (0.3514, 0.3514, 0.0000)
B (0.6486, 0.6486, 0.0000)
C (0.5000, 0.5000, 0.0000)

=====

Simulated XRD peak list of MgO for Cu Kα, 1.54184 Å, from a DFT-relaxed cell (PBE, the Materials Project).
Lines closer than 0.1° are merged.

Main lines, low angle first (10 to 90 degrees two-theta):
| two_theta | I_rel |
| --- | --- |
| 25.21 | 75 |
| 29.08 | 81 |
| 32.48 | 68 |
| 42.85 | 100 |
| 49.26 | 39 |
| 50.73 | 52 |
| 53.74 | 54 |
| 67.31 | 26 |
| 68.53 | 37 |
| 71.06 | 40 |

Cell: 11.4220 11.4220 11.4220 Å, 148.81 38.07 158.70°
Atoms (fractional coordinates):
Mg (0.0476, 0.6677, 0.7153)
Mg (0.1282, 0.1647, 0.2929)
Mg (0.2094, 0.6657, 0.8750)
Mg (0.2906, 0.1657, 0.4563)
Mg (0.3718, 0.6647, 0.0365)
Mg (0.4524, 0.1677, 0.6201)
Mg (0.5476, 0.8323, 0.3799)
Mg (0.6282, 0.3353, 0.9635)
Mg (0.7094, 0.8343, 0.5437)
Mg (0.7906, 0.3343, 0.1250)
Mg (0.8718, 0.8353, 0.7071)
Mg (0.9524, 0.3323, 0.2847)
O (0.0476, 0.3277, 0.3753)
O (0.1283, 0.8348, 0.9631)
O (0.2094, 0.3344, 0.5438)
O (0.2906, 0.8344, 0.1250)
O (0.3717, 0.3348, 0.7064)
O (0.4524, 0.8277, 0.2802)
O (0.5476, 0.1723, 0.7198)
O (0.6283, 0.6652, 0.2936)
O (0.7094, 0.1656, 0.8750)
O (0.7906, 0.6656, 0.4562)
O (0.8717, 0.1652, 0.0369)
O (0.9524, 0.6723, 0.6247)

=====

Simulated XRD peak list of PrCoSb2 for Cu Kα, 1.54184 Å, from a DFT-relaxed cell (PBE, the Materials Project).
Lines closer than 0.1° are merged.

Main lines, low angle first (10 to 90 degrees two-theta):
| two_theta | I_rel |
| --- | --- |
| 27.11 | 19 |
| 30.19 | 28 |
| 33.90 | 45 |
| 34.08 | 100 |
| 41.17 | 54 |
| 50.38 | 16 |
| 54.36 | 23 |
| 59.64 | 22 |
| 67.02 | 14 |
| 70.51 | 23 |

Cell: 4.3848 4.3848 9.9442 Å, 90.00 90.00 90.00°
Atoms (fractional coordinates):
Pr (0.2500, 0.2500, 0.2427)
Pr (0.7500, 0.7500, 0.7573)
Co (0.2500, 0.7500, 0.0000)
Co (0.7500, 0.2500, 0.0000)
Sb (0.2500, 0.2500, 0.8709)
Sb (0.2500, 0.7500, 0.5000)
Sb (0.7500, 0.2500, 0.5000)
Sb (0.7500, 0.7500, 0.1291)

=====

Which formula does entry 2 have?
ThNi2B2C